The following is a theoretical XRD peak list of LaSm4Er5. It was derived from a structure optimized by DFT (GGA-PBE), using Cu Kα X-rays.

Structure:
Cell lengths 3.603, 6.221, 14.459 Å; angles 90.01, 90.01, 90.01 degrees
Space group P-1 (No. 2)
Unique sites:
La  0.000  0.000  0.000 x1
Sm  0.002  0.334  0.796 x2
Sm  0.499  0.166  0.207 x2
Er  0.000  0.334  0.403 x2
Er  0.499  0.833  0.404 x2
Er  0.500  0.500  0.000 x1

Main lines, sorted by position (2θ from 10° to 80°):
| hkl | Position (°2θ) | I/Imax |
| --- | --- | --- |
| 0 2 -1 | 29.33 | 38 |
| 0 0 5 | 30.92 | 48 |
| 1 1 2 | 31.26 | 100 |
| 1 1 -3 | 34.25 | 62 |
| 0 2 3 | 34.32 | 31 |
| 1 3 0 | 50.80 | 25 |
| 1 1 7 | 53.21 | 18 |
| 1 1 -8 | 59.09 | 22 |
| 2 0 5 | 60.56 | 14 |
| 1 3 5 | 60.67 | 29 |

The following is a theoretical XRD peak list of LiCeRh2. It was derived from a structure optimized by DFT (GGA-PBE), using Cu Kα X-rays.

Structure:
Cell lengths 4.238, 4.238, 3.709 Å; angles 90.00, 90.00, 90.00 degrees
Space group P4/mmm (No. 123)
Unique sites:
Li  0.000  0.000  0.000 x1
Ce  0.500  0.500  0.000 x1
Rh  0.000  0.500  0.500 x2

Main lines, sorted by position (2θ from 10° to 80°):
| hkl | Position (°2θ) | I/Imax |
| --- | --- | --- |
| 1 0 0 | 20.96 | 34 |
| 1 0 1 | 32.07 | 24 |
| 1 1 1 | 38.63 | 100 |
| 2 0 0 | 42.67 | 38 |
| 2 1 0 | 48.01 | 8 |
| 0 0 2 | 49.12 | 12 |
| 2 1 1 | 54.36 | 11 |
| 2 2 0 | 61.93 | 12 |
| 2 0 2 | 67.07 | 19 |
| 3 1 1 | 75.42 | 27 |

The following is a theoretical XRD peak list of Sn. It was derived from a structure optimized by DFT (GGA-PBE), using Cu Kα X-rays.

Structure:
Cell lengths 12.226, 12.226, 4.718 Å; angles 90.00, 90.00, 90.00 degrees
Space group I4/mmm (No. 139)
Unique sites:
Sn  0.117  0.286  0.000 x16

Main lines, sorted by position (2θ from 10° to 80°):
| hkl | Position (°2θ) | I/Imax |
| --- | --- | --- |
| 1 1 0 | 10.23 | 30 |
| 2 0 0 | 14.49 | 86 |
| 1 0 1 | 20.17 | 34 |
| 3 1 0 | 23.00 | 32 |
| 2 1 1 | 24.93 | 71 |
| 3 2 1 | 32.52 | 28 |
| 4 2 0 | 32.76 | 34 |
| 4 1 1 | 35.77 | 28 |
| 0 0 2 | 38.15 | 25 |
| 5 0 1 | 41.60 | 100 |

The following is a theoretical XRD peak list of La2Be3AlNi12. It was derived from a structure optimized by DFT (GGA-PBE), using Cu Kα X-rays.

Structure:
Cell lengths 7.4106, 7.4106, 16.4503 Å; angles 90.00, 90.00, 120.00 degrees
Space group R-3m (No. 166, hexagonal axes)
Unique sites:
La  0.0000  0.0000  0.1092 x6
Be  0.0000  0.5000  0.0000 x9
Al  0.0000  0.0000  0.5000 x3
Ni  0.0111  0.5055  0.8745 x18
Ni  0.0436  0.5218  0.3650 x18

Main lines, sorted by position (2θ from 10° to 80°):
| hkl | Position (°2θ) | I/Imax |
| --- | --- | --- |
| 1 0 1 | 14.82 | 16 |
| 0 2 1 | 28.34 | 11 |
| 0 1 5 | 30.53 | 16 |
| 0 2 4 | 35.48 | 100 |
| 2 1 1 | 37.48 | 11 |
| 1 2 2 | 38.70 | 12 |
| 2 0 5 | 39.22 | 12 |
| 2 2 0 | 49.18 | 44 |
| 2 0 8 | 52.88 | 30 |
| 4 0 4 | 62.10 | 15 |

The following is a theoretical XRD peak list of AcMg9Zn3. It was derived from a structure optimized by DFT (GGA-PBE), using Cu Kα X-rays.

Structure:
Cell lengths 5.766, 14.158, 7.582 Å; angles 90.00, 111.41, 90.00 degrees
Space group C2/m (No. 12)
Unique sites:
Ac  0.000  0.000  0.000 x2
Mg  0.000  0.000  0.500 x2
Mg  0.100  0.388  0.214 x8
Mg  0.172  0.179  0.344 x8
Zn  0.000  0.500  0.500 x2
Zn  0.250  0.250  0.000 x4

Main lines, sorted by position (2θ from 10° to 80°):
| hkl | Position (°2θ) | I/Imax |
| --- | --- | --- |
| 0 0 1 | 12.53 | 75 |
| 1 1 -1 | 17.85 | 52 |
| 1 1 1 | 25.06 | 43 |
| 0 4 0 | 25.22 | 82 |
| 0 4 1 | 28.22 | 35 |
| 1 3 1 | 30.84 | 33 |
| 2 2 0 | 35.77 | 62 |
| 0 4 2 | 35.92 | 100 |
| 2 2 -2 | 36.17 | 71 |
| 0 0 4 | 51.83 | 21 |

The following is a theoretical XRD peak list of BPPbO5. It was derived from a structure optimized by DFT (GGA-PBE), using Cu Kα X-rays.

Structure:
Cell lengths 7.0149, 7.0149, 6.9362 Å; angles 90.00, 90.00, 120.00 degrees
Space group P3_121 (No. 152)
Unique sites:
B  0.0000  0.0982  0.1667 x3
P  0.0000  0.6003  0.6667 x3
Pb  0.0000  0.6112  0.1667 x3
O  0.0000  0.0426  0.6667 x3
O  0.1381  0.5573  0.5237 x6
O  0.1464  0.8148  0.7947 x6

Main lines, sorted by position (2θ from 10° to 80°):
| hkl | Position (°2θ) | I/Imax |
| --- | --- | --- |
| 0 1 1 | 19.42 | 95 |
| 1 1 0 | 25.39 | 100 |
| 2 0 0 | 29.40 | 27 |
| 1 0 2 | 29.66 | 90 |
| 2 0 1 | 32.17 | 26 |
| 0 2 2 | 39.43 | 32 |
| 1 2 1 | 41.42 | 54 |
| 1 1 3 | 47.08 | 26 |
| 2 1 2 | 47.49 | 53 |
| 1 2 4 | 67.71 | 18 |

The following is a theoretical XRD peak list of Pr2SmDyTh. It was derived from a structure optimized by DFT (GGA-PBE), using Cu Kα X-rays.

Structure:
Cell lengths 8.613, 6.476, 6.377 Å; angles 90.00, 93.45, 90.00 degrees
Space group P2/c (No. 13)
Unique sites:
Pr  0.189  0.202  0.269 x4
Sm  0.500  0.051  0.750 x2
Dy  0.000  0.326  0.750 x2
Th  0.500  0.500  0.000 x2

Main lines, sorted by position (2θ from 10° to 80°):
| hkl | Position (°2θ) | I/Imax |
| --- | --- | --- |
| 2 0 0 | 20.66 | 46 |
| 0 0 2 | 27.99 | 83 |
| 2 1 1 | 29.22 | 62 |
| 1 2 0 | 29.48 | 100 |
| 3 0 0 | 31.21 | 35 |
| 0 1 2 | 31.32 | 44 |
| 1 1 -2 | 32.48 | 68 |
| 1 1 2 | 33.59 | 47 |
| 2 2 0 | 34.68 | 42 |
| 3 1 -2 | 43.51 | 35 |

The following is a theoretical XRD peak list of In4HgPb6. It was derived from a structure optimized by DFT (GGA-PBE), using Cu Kα X-rays.

Structure:
Cell lengths 7.845, 7.845, 12.107 Å; angles 90.00, 90.00, 90.00 degrees
Space group I-42m (No. 121)
Unique sites:
In  0.235  0.235  0.366 x8
Hg  0.000  0.000  0.500 x2
Pb  0.000  0.500  0.000 x4
Pb  0.148  0.148  0.125 x8

Main lines, sorted by position (2θ from 10° to 80°):
| hkl | Position (°2θ) | I/Imax |
| --- | --- | --- |
| 0 0 2 | 14.63 | 44 |
| 1 0 3 | 24.81 | 45 |
| 2 1 1 | 26.45 | 98 |
| 2 0 2 | 27.09 | 60 |
| 2 2 0 | 32.28 | 57 |
| 2 1 3 | 33.86 | 41 |
| 2 2 2 | 35.61 | 59 |
| 2 0 4 | 37.53 | 100 |
| 3 1 2 | 39.25 | 52 |
| 5 1 2 | 62.27 | 33 |